# 1
Theoretical powder XRD pattern
Compound: As3Pb5ClO9
Radiation: Cu Ka
Structure: the GGA-PBE geometry in the Materials Project
Neutral-atom scattering factors, no anomalous dispersion.

Structure:
```
As3Pb5ClO9
1.0
10.597 0.000 0.000
-5.298 9.177 0.000
0.000 0.000 7.105
As Pb Cl O
6 10 2 18
Cartesian
-2.038 3.806 1.776
-0.984 9.039 1.776
2.277 3.668 5.329
3.022 5.509 1.776
6.282 0.138 5.329
7.336 5.371 5.329
-3.656 7.108 1.776
0.970 2.457 1.776
2.613 0.388 5.329
0.000 6.118 0.082
0.000 6.118 3.470
5.298 3.059 3.635
5.298 3.059 7.023
2.686 8.789 1.776
4.328 6.720 5.329
8.954 2.069 5.329
0.000 0.000 0.000
0.000 0.000 3.552
-0.963 3.399 0.411
-0.963 3.399 3.141
-1.663 5.622 1.776
-1.873 8.312 0.411
-1.873 8.312 3.141
2.462 2.533 3.964
2.462 2.533 6.694
1.261 4.926 1.776
0.402 7.807 1.776
4.896 1.370 5.329
4.037 4.251 5.329
2.836 6.644 0.411
2.836 6.644 3.141
7.172 0.865 3.964
7.172 0.865 6.694
6.962 3.555 5.329
6.261 5.778 3.964
6.261 5.778 6.694
```

Most intense lines, 5 to 70 degrees two-theta, by angle:
d [Å], I_rel
3.469, 36
3.313, 23
3.117, 100
3.059, 49
2.951, 93
2.069, 26
2.003, 27
1.956, 26
1.927, 24
1.581, 23

***

# 2
Theoretical powder XRD pattern
Compound: Rb3DyF6
Radiation: Cu Ka
Structure: the GGA-PBE geometry in the Materials Project
Neutral-atom scattering factors, no anomalous dispersion.

Structure:
```
Rb3DyF6
1.0
0.000 4.853 4.853
4.853 0.000 4.853
4.853 4.853 0.000
Rb Dy F
3 1 6
Cartesian
0.000 0.000 0.000
2.426 2.426 2.426
7.279 7.279 7.279
4.853 4.853 4.853
4.853 4.853 2.672
4.853 2.672 4.853
7.033 4.853 4.853
2.672 4.853 4.853
4.853 7.033 4.853
4.853 4.853 7.033
```

Most intense lines, 5 to 70 degrees two-theta, by angle:
d [Å], I_rel
5.603, 12
4.853, 11
3.431, 100
2.926, 4
2.426, 37
2.170, 4
1.981, 42
1.716, 24
1.535, 21
1.401, 8

***

# 3
Theoretical powder XRD pattern
Compound: Sm6Fe13Sn
Radiation: Cu Ka
Structure: the GGA-PBE geometry in the Materials Project
Neutral-atom scattering factors, no anomalous dispersion.

Structure:
```
Sm6Fe13Sn
1.0
-4.023 4.023 11.579
4.023 -4.023 11.579
4.023 4.023 -11.579
Sm Fe Sn
12 26 2
Cartesian
2.710 -1.313 4.296
0.000 0.000 2.437
5.335 -1.313 7.283
5.335 1.313 4.296
0.000 0.000 9.142
2.710 1.313 7.283
1.313 2.710 4.296
0.000 0.000 14.017
-1.313 2.710 7.283
-1.313 5.335 4.296
0.000 0.000 20.721
1.313 5.335 7.283
4.023 0.000 0.000
3.109 0.914 -2.196
1.685 0.529 0.000
5.463 1.441 -1.381
3.109 0.914 2.196
3.493 -2.338 11.579
5.463 1.441 1.381
1.441 2.582 -1.381
3.493 2.338 0.000
3.109 -0.914 9.383
1.441 2.582 1.381
1.685 -0.529 11.579
3.109 -0.914 13.775
0.000 4.023 0.000
0.914 4.937 -2.196
2.338 4.552 0.000
2.582 1.441 10.198
0.914 4.937 2.196
0.529 1.685 11.579
2.582 1.441 12.961
-1.441 2.582 10.198
0.529 6.361 0.000
0.914 3.109 9.383
-1.441 2.582 12.961
2.338 3.493 11.579
0.914 3.109 13.775
0.000 0.000 5.790
0.000 0.000 17.369
```

Most intense lines, 5 to 70 degrees two-theta, by angle:
d [Å], I_rel
3.261, 74
2.842, 100
2.785, 32
2.580, 31
2.544, 84
2.350, 58
2.093, 42
1.944, 35
1.586, 32
1.386, 35

***

# 4
Theoretical powder XRD pattern
Compound: HoCu4Ag
Radiation: Cu Ka
Structure: the GGA-PBE geometry in the Materials Project
Neutral-atom scattering factors, no anomalous dispersion.

Structure:
```
HoCu4Ag
1.0
0.000 3.569 3.569
3.569 0.000 3.569
3.569 3.569 0.000
Ho Cu Ag
1 4 1
Cartesian
0.000 0.000 0.000
4.455 2.683 2.683
2.683 4.455 2.683
2.683 2.683 4.455
4.455 4.455 4.455
1.785 1.785 1.785
```

Most intense lines, 5 to 70 degrees two-theta, by angle:
d [Å], I_rel
4.121, 7
3.569, 2
2.524, 54
2.152, 100
2.061, 20
1.638, 2
1.596, 1
1.457, 19
1.374, 30

***

# 5
Theoretical powder XRD pattern
Compound: Ca3Sc2N4
Radiation: Cu Ka
Structure: the GGA-PBE geometry in the Materials Project
Neutral-atom scattering factors, no anomalous dispersion.

Structure:
```
Ca3Sc2N4
1.0
5.887 0.000 0.000
0.000 11.285 0.000
0.000 0.000 9.333
Ca Sc N
12 8 16
Cartesian
0.860 1.892 0.924
0.860 3.750 3.742
1.472 0.000 3.966
1.472 5.642 0.700
2.084 7.535 3.742
2.084 9.392 0.924
3.803 1.892 8.408
3.803 3.750 5.591
4.415 0.000 5.366
4.415 5.642 8.633
5.027 7.535 5.591
5.027 9.392 8.408
1.141 2.821 6.999
1.472 0.000 7.212
1.472 5.642 6.787
1.802 8.464 6.999
4.085 2.821 2.333
4.415 0.000 2.120
4.415 5.642 2.546
4.746 8.464 2.333
0.147 1.378 8.084
0.147 4.264 5.915
0.393 7.071 7.926
0.393 9.856 6.073
2.551 1.429 6.073
2.551 4.214 7.926
2.797 7.020 5.915
2.797 9.907 8.084
3.090 1.378 1.249
3.090 4.264 3.418
3.336 7.071 1.407
3.336 9.856 3.260
5.494 1.429 3.260
5.494 4.214 1.407
5.740 7.020 3.418
5.740 9.907 1.249
```

Most intense lines, 5 to 70 degrees two-theta, by angle:
d [Å], I_rel
4.979, 25
3.489, 60
2.848, 27
2.750, 100
2.622, 69
2.513, 25
2.455, 23
2.037, 27
1.969, 20
1.672, 19

***

# 6
Theoretical powder XRD pattern
Compound: Sr2AlH7
Radiation: Cu Ka
Structure: the GGA-PBE geometry in the Materials Project
Neutral-atom scattering factors, no anomalous dispersion.

Structure:
```
Sr2AlH7
1.0
6.823 -4.903 0.000
6.823 4.903 0.000
-3.418 0.000 7.223
Sr Al H
8 4 28
Cartesian
2.187 3.228 7.064
6.332 3.228 3.771
3.164 0.667 3.778
4.873 -0.667 0.166
5.356 0.667 7.057
7.065 -0.667 3.445
3.896 -3.228 3.452
8.041 -3.228 0.159
-0.024 1.487 4.990
1.685 -1.487 1.378
8.544 1.487 5.845
10.253 -1.487 2.233
1.331 2.576 4.822
-1.406 0.433 5.097
3.803 3.142 3.919
0.271 1.409 6.688
0.303 -0.433 1.485
4.580 2.031 1.938
0.974 0.084 4.763
2.683 -0.084 1.152
4.716 3.142 6.916
3.027 0.989 6.294
7.357 2.030 1.673
1.979 -1.409 3.077
5.493 0.989 4.541
7.189 2.576 6.012
3.040 -2.576 1.211
4.736 -0.989 2.682
8.249 1.409 4.146
2.871 -2.030 5.550
7.202 -0.989 0.929
5.512 -3.142 0.307
7.546 0.084 6.072
9.255 -0.084 2.460
5.648 -2.030 5.285
9.926 0.433 5.738
9.958 -1.409 0.535
6.425 -3.142 3.304
11.635 -0.433 2.126
8.898 -2.576 2.401
```

Most intense lines, 5 to 70 degrees two-theta, by angle:
d [Å], I_rel
3.839, 84
3.612, 68
3.359, 42
3.160, 46
3.085, 85
3.068, 100
2.519, 24
2.339, 34
1.968, 21
1.832, 26

***

# 7
Theoretical powder XRD pattern
Compound: BaSrNdCu3O7
Radiation: Cu Ka
Structure: the GGA-PBE geometry in the Materials Project
Neutral-atom scattering factors, no anomalous dispersion.

Structure:
```
BaSrNdCu3O7
1.0
3.822 0.000 0.000
0.000 3.930 0.000
0.000 0.000 11.705
Ba Sr Nd Cu O
1 1 1 3 7
Cartesian
0.000 0.000 0.000
0.000 0.000 7.519
0.000 0.000 3.808
1.911 1.965 1.994
1.911 1.965 5.625
1.911 1.965 9.585
0.000 1.965 2.301
0.000 1.965 5.321
1.911 0.000 2.278
1.911 0.000 5.364
1.911 0.000 9.506
1.911 1.965 7.728
1.911 1.965 11.461
```

Most intense lines, 5 to 70 degrees two-theta, by angle:
d [Å], I_rel
11.705, 26
2.769, 91
2.740, 92
2.730, 100
2.242, 24
1.965, 29
1.911, 26
1.595, 38
1.589, 36
1.573, 33

***

# 8
Theoretical powder XRD pattern
Compound: Ca2CdPd2
Radiation: Cu Ka
Structure: the GGA-PBE geometry in the Materials Project
Neutral-atom scattering factors, no anomalous dispersion.

Structure:
```
Ca2CdPd2
1.0
-2.252 2.973 4.375
2.252 -2.973 4.375
2.252 2.973 -4.375
Ca Cd Pd
2 1 2
Cartesian
0.000 0.000 1.761
0.000 0.000 6.989
0.000 2.973 0.000
2.252 1.359 0.000
0.000 1.615 4.375
```

Most intense lines, 5 to 70 degrees two-theta, by angle:
d [Å], I_rel
4.375, 69
2.775, 58
2.448, 13
2.387, 100
2.252, 30
2.188, 20
2.002, 17
1.890, 27
1.569, 14
1.430, 25

***

# 9
Theoretical powder XRD pattern
Compound: LiBi
Radiation: Cu Ka
Structure: the GGA-PBE geometry in the Materials Project
Neutral-atom scattering factors, no anomalous dispersion.

Structure:
```
LiBi
1.0
3.352 0.000 0.000
0.000 3.352 0.000
0.000 0.000 4.290
Li Bi
1 1
Cartesian
0.000 0.000 0.000
1.676 1.676 2.145
```

Most intense lines, 5 to 70 degrees two-theta, by angle:
d [Å], I_rel
4.290, 75
3.352, 84
2.641, 100
2.370, 37
2.074, 46
1.807, 30
1.590, 22
1.561, 19
1.499, 17
1.415, 31

***

# 10
Theoretical powder XRD pattern
Compound: KEu2I5
Radiation: Cu Ka
Structure: the GGA-PBE geometry in the Materials Project
Neutral-atom scattering factors, no anomalous dispersion.

Structure:
```
KEu2I5
1.0
10.032 0.000 0.000
0.000 9.014 0.000
-0.037 0.000 14.395
K Eu I
4 8 20
Cartesian
0.065 0.441 4.739
0.047 4.066 11.937
9.948 4.949 2.459
9.930 8.573 9.656
2.501 5.167 7.115
2.482 8.355 14.313
4.978 4.734 2.595
4.960 8.788 9.793
5.035 0.227 4.603
5.017 4.280 11.800
7.513 0.660 0.082
7.494 3.847 7.280
0.369 1.572 1.231
0.351 2.935 8.429
2.671 6.210 10.305
2.689 7.312 3.107
2.784 1.488 11.764
2.802 3.020 4.567
2.810 4.903 14.361
2.829 8.619 7.163
4.605 1.457 1.437
4.587 3.050 8.634
5.408 5.964 5.761
5.390 7.557 12.959
7.167 0.396 7.232
7.185 4.111 0.035
7.193 5.995 9.829
7.212 7.527 2.631
7.306 1.702 11.288
7.324 2.805 4.090
9.644 6.079 5.966
9.626 7.443 13.164
```

Most intense lines, 5 to 70 degrees two-theta, by angle:
d [Å], I_rel
10.032, 49
3.743, 51
3.342, 44
3.265, 61
3.039, 100
2.941, 33
2.924, 53
2.673, 25
2.508, 37
2.407, 30